No. 1
The following is a computed powder XRD pattern of TbSm4Dy7. It was derived from the GGA-PBE geometry in Alexandria, using Cu Kα (weighted mean of Kα1 and Kα2).
No peak broadening, texture or thermal motion is included.

Atomic structure:
a b c (Å): 6.537 6.822 9.093
angles (deg): 85.47 77.10 82.04
Fractional coordinates of all 12 atoms:
Tb  0.000  0.000  0.000
Sm  0.161  0.616  0.308
Sm  0.361  0.191  0.717
Sm  0.639  0.809  0.283
Sm  0.839  0.384  0.692
Dy  0.000  0.500  0.000
Dy  0.190  0.106  0.386
Dy  0.317  0.698  0.640
Dy  0.487  0.248  0.052
Dy  0.513  0.752  0.948
Dy  0.683  0.302  0.360
Dy  0.810  0.894  0.614

Largest 10 diffraction maxima, low angle first, 10 to 80 degrees two-theta:
2θ/deg	Rel. int.
30.29	34
31.03	37
31.60	100
32.05	51
32.30	33
32.52	18
45.58	12
46.70	13
56.77	12
56.92	18



No. 2
The following is a computed powder XRD pattern of Tb6Sm19Dy4. It was derived from the GGA-PBE geometry in Alexandria, using Cu Kα (weighted mean of Kα1 and Kα2).
No peak broadening, texture or thermal motion is included.

Atomic structure:
a b c (Å): 10.895 10.895 10.895
angles (deg): 109.47 109.47 109.47
Fractional coordinates of all 29 atoms:
Tb  0.125  0.625  0.500
Tb  0.375  0.500  0.875
Tb  0.500  0.125  0.625
Tb  0.500  0.875  0.375
Tb  0.625  0.500  0.125
Tb  0.875  0.375  0.500
Sm  0.000  0.000  0.000
Sm  0.000  0.258  0.258
Sm  0.000  0.742  0.742
Sm  0.020  0.801  0.343
Sm  0.199  0.219  0.542
Sm  0.219  0.542  0.199
Sm  0.258  0.000  0.258
Sm  0.258  0.258  0.000
Sm  0.323  0.781  0.980
Sm  0.343  0.020  0.801
Sm  0.458  0.677  0.657
Sm  0.542  0.199  0.219
Sm  0.657  0.458  0.677
Sm  0.677  0.657  0.458
Sm  0.742  0.000  0.742
Sm  0.742  0.742  0.000
Sm  0.781  0.980  0.323
Sm  0.801  0.343  0.020
Sm  0.980  0.323  0.781
Dy  0.000  0.000  0.639
Dy  0.000  0.639  0.000
Dy  0.361  0.361  0.361
Dy  0.639  0.000  0.000

Largest 10 diffraction maxima, low angle first, 10 to 80 degrees two-theta:
2θ/deg	Rel. int.
26.51	49
28.38	56
30.14	100
33.41	19
34.94	38
36.41	71
41.87	21
53.53	25
59.71	27
60.70	23



No. 3
The following is a computed powder XRD pattern of Tb4Sm19Dy6. It was derived from the GGA-PBE geometry in Alexandria, using Cu Kα (weighted mean of Kα1 and Kα2).
No peak broadening, texture or thermal motion is included.

Atomic structure:
a b c (Å): 10.898 10.898 10.898
angles (deg): 109.47 109.47 109.47
Fractional coordinates of all 29 atoms:
Tb  0.000  0.000  0.639
Tb  0.000  0.639  0.000
Tb  0.361  0.361  0.361
Tb  0.639  0.000  0.000
Sm  0.000  0.000  0.000
Sm  0.000  0.259  0.259
Sm  0.000  0.741  0.741
Sm  0.019  0.800  0.342
Sm  0.200  0.219  0.543
Sm  0.219  0.543  0.200
Sm  0.259  0.000  0.259
Sm  0.259  0.259  0.000
Sm  0.324  0.781  0.981
Sm  0.342  0.019  0.800
Sm  0.457  0.676  0.658
Sm  0.543  0.200  0.219
Sm  0.658  0.457  0.676
Sm  0.676  0.658  0.457
Sm  0.741  0.000  0.741
Sm  0.741  0.741  0.000
Sm  0.781  0.981  0.324
Sm  0.800  0.342  0.019
Sm  0.981  0.324  0.781
Dy  0.125  0.625  0.500
Dy  0.375  0.500  0.875
Dy  0.500  0.125  0.625
Dy  0.500  0.875  0.375
Dy  0.625  0.500  0.125
Dy  0.875  0.375  0.500

Largest 10 diffraction maxima, low angle first, 10 to 80 degrees two-theta:
2θ/deg	Rel. int.
26.50	49
28.37	56
30.13	100
33.40	18
34.93	38
36.41	72
41.86	22
53.51	25
59.70	28
60.69	23



No. 4
The following is a computed powder XRD pattern of Tb3Sm9Dy2. It was derived from the GGA-PBE geometry in Alexandria, using Cu Kα (weighted mean of Kα1 and Kα2).
No peak broadening, texture or thermal motion is included.

Atomic structure:
a b c (Å): 9.060 9.060 13.758
angles (deg): 90.00 90.00 120.00
Fractional coordinates of all 28 atoms:
Tb  0.082  0.252  0.250
Tb  0.170  0.918  0.250
Tb  0.252  0.170  0.750
Tb  0.748  0.830  0.250
Tb  0.830  0.082  0.750
Tb  0.918  0.748  0.750
Sm  0.082  0.482  0.750
Sm  0.132  0.723  0.541
Sm  0.132  0.723  0.959
Sm  0.277  0.409  0.541
Sm  0.277  0.409  0.959
Sm  0.400  0.918  0.750
Sm  0.409  0.132  0.041
Sm  0.409  0.132  0.459
Sm  0.482  0.400  0.250
Sm  0.518  0.600  0.750
Sm  0.591  0.868  0.541
Sm  0.591  0.868  0.959
Sm  0.600  0.082  0.250
Sm  0.723  0.591  0.041
Sm  0.723  0.591  0.459
Sm  0.868  0.277  0.041
Sm  0.868  0.277  0.459
Sm  0.918  0.518  0.250
Dy  0.333  0.667  0.142
Dy  0.333  0.667  0.358
Dy  0.667  0.333  0.642
Dy  0.667  0.333  0.858

Largest 10 diffraction maxima, low angle first, 10 to 80 degrees two-theta:
2θ/deg	Rel. int.
25.91	24
29.98	42
30.85	81
32.69	22
32.89	100
34.54	28
36.07	25
53.52	31
53.70	20
60.40	17